This entry pairs a crystal structure of TmHfTeC with its theoretical powder diffractogram. Radiation: CuKα. Structure: a DFT-relaxed cell (GGA-PBE, OQMD).
Lines closer than 0.1° are merged.

Top 12 peaks for 15 to 90 degrees two-theta, low angle first:
hkl 1 0 0, 3.125 Å, I 25.8; hkl 1 0 3, 2.573 Å, I 100.0; hkl 0 0 6, 2.267 Å, I 14.2; hkl 1 0 6, 1.835 Å, I 12.6; hkl 1 1 0, 1.804 Å, I 24.6; hkl 2 0 0, 1.563 Å, I 3.5; hkl 2 0 3, 1.477 Å, I 18.2; hkl 1 1 6, 1.412 Å, I 19.2; hkl 1 0 9, 1.361 Å, I 12.6; hkl 2 0 6, 1.287 Å, I 3.9; hkl 2 1 0, 1.181 Å, I 2.8; hkl 2 1 3, 1.143 Å, I 16.1

Atomic structure:
```
data_TmHfTeC
_chemical_formula_sum 'Tm2 Hf2 Te2 C2'
_space_group_name_H-M_alt 'P 63 m c'
_space_group_IT_number 186
_space_group_name_Hall 'P 6c -2c'
_cell_length_a 3.6085
_cell_length_b 3.6085
_cell_length_c 13.6048
_cell_angle_alpha 90.00
_cell_angle_beta 90.00
_cell_angle_gamma 120.00
loop_
_atom_site_label
_atom_site_type_symbol
_atom_site_fract_x
_atom_site_fract_y
_atom_site_fract_z
Tm1 Tm 0.3333 0.6667 0.0000
Hf1 Hf 0.3333 0.6667 0.6804
Te1 Te 0.3333 0.6667 0.3332
C1 C 0.0000 0.0000 0.1007
```